1.
Theoretical XRD peak list
Compound: Pr8Ir3CBr4
Radiation: Cu Ka
Structure: a structure optimized by DFT (GGA-PBE)

Crystal structure
```
data_Pr8Ir3CBr4
_space_group_name_H-M_alt 'R -3 m'
_space_group_IT_number 166
_space_group_name_Hall '-R 3 2"'
_cell_length_a 8.2685
_cell_length_b 8.2685
_cell_length_c 23.3593
_cell_angle_alpha 90.00
_cell_angle_beta 90.00
_cell_angle_gamma 120.00
loop_
_atom_site_label
_atom_site_fract_x
_atom_site_fract_y
_atom_site_fract_z
Pr1 0.0000 0.0000 0.2337
Pr2 0.0166 0.5083 0.2290
Ir1 0.0000 0.5000 0.5000
C1 0.0000 0.0000 0.5000
Br1 0.0000 0.0000 0.0000
Br2 0.0000 0.5000 0.0000
```

Top 8 peaks for 2θ = 10–90°, in order of rising 2θ:
hkl 0 0 3, 2θ = 11.4°, intensity 36
hkl 0 2 4, 2θ = 29.3°, intensity 100
hkl 0 2 7, 2θ = 36.8°, intensity 19
hkl 2 0 8, 2θ = 39.8°, intensity 28
hkl 2 2 0, 2θ = 43.8°, intensity 38
hkl 2 0 11, 2θ = 49.9°, intensity 12
hkl 4 0 4, 2θ = 53.5°, intensity 18
hkl 2 4 4, 2θ = 71.6°, intensity 15

***

2.
Theoretical XRD peak list
Compound: Pm3Pr4Tl2
Radiation: Cu Ka
Structure: a structure optimized by DFT (GGA-PBE)

Crystal structure
```
data_Pm3Pr4Tl2
_space_group_name_H-M_alt 'C 1 2/m 1'
_space_group_IT_number 12
_cell_length_a 16.3817
_cell_length_b 5.2123
_cell_length_c 7.4679
_cell_angle_alpha 90.00
_cell_angle_beta 110.21
_cell_angle_gamma 90.00
loop_
_space_group_symop_operation_xyz
'x,y,z'
'-x,-y,-z'
'-x,y,-z'
'x,-y,z'
'x+1/2,y+1/2,z'
'-x+1/2,-y+1/2,-z'
'-x+1/2,y+1/2,-z'
'x+1/2,-y+1/2,z'
loop_
_atom_site_label
_atom_site_fract_x
_atom_site_fract_y
_atom_site_fract_z
Pm1 0.0000 0.0000 0.0000
Pm2 0.1171 0.0000 0.6857
Pr1 0.0632 0.5000 0.3502
Pr2 0.2195 0.0000 0.2733
Tl1 0.1413 0.5000 0.9817
```

Top 8 peaks for 2θ = 10–90°, in order of rising 2θ:
hkl 3 1 1, 2θ = 30.2°, intensity 100
hkl 3 1 -2, 2θ = 30.7°, intensity 100
hkl 6 0 -1, 2θ = 32.8°, intensity 38
hkl 0 2 0, 2θ = 34.4°, intensity 42
hkl 0 0 3, 2θ = 38.5°, intensity 22
hkl 6 2 -1, 2θ = 48.3°, intensity 26
hkl 0 2 3, 2θ = 52.6°, intensity 18
hkl 3 3 -2, 2θ = 59.3°, intensity 15

***

3.
Theoretical XRD peak list
Compound: Y2NO
Radiation: Cu Ka
Structure: a structure optimized by DFT (GGA-PBE)

Crystal structure
```
data_Y2NO
_space_group_name_H-M_alt 'I -4 2 d'
_space_group_IT_number 122
_space_group_name_Hall 'I -4 2bw'
_cell_length_a 5.2868
_cell_length_b 5.2868
_cell_length_c 10.6174
_cell_angle_alpha 90.00
_cell_angle_beta 90.00
_cell_angle_gamma 90.00
loop_
_atom_site_label
_atom_site_fract_x
_atom_site_fract_y
_atom_site_fract_z
Y1 0.2461 0.2500 0.1250
N1 0.0000 0.0000 0.0000
O1 0.0000 0.0000 0.5000
```

Top 8 peaks for 2θ = 10–90°, in order of rising 2θ:
hkl 1 1 2, 2θ = 29.2°, intensity 100
hkl 0 0 4, 2θ = 33.8°, intensity 11
hkl 2 0 0, 2θ = 33.9°, intensity 22
hkl 2 0 4, 2θ = 48.6°, intensity 30
hkl 2 2 0, 2θ = 48.7°, intensity 15
hkl 1 1 6, 2θ = 57.6°, intensity 14
hkl 3 1 2, 2θ = 57.8°, intensity 27
hkl 3 1 6, 2θ = 78.7°, intensity 11

***

4.
Theoretical XRD peak list
Compound: Pr2MgIrO6
Radiation: Cu Ka
Structure: a structure optimized by DFT (GGA-PBE)

Crystal structure
```
data_Pr2MgIrO6
_space_group_name_H-M_alt 'P 1 21/c 1'
_space_group_IT_number 14
_cell_length_a 5.5305
_cell_length_b 5.7627
_cell_length_c 9.6354
_cell_angle_alpha 90.00
_cell_angle_beta 124.85
_cell_angle_gamma 90.00
loop_
_space_group_symop_operation_xyz
'x,y,z'
'-x,-y,-z'
'-x,y+1/2,-z+1/2'
'x,-y+1/2,z+1/2'
loop_
_atom_site_label
_atom_site_fract_x
_atom_site_fract_y
_atom_site_fract_z
Pr1 0.2350 0.0591 0.2506
Mg1 0.5000 0.0000 0.0000
Ir1 0.0000 0.0000 0.5000
O1 0.1476 0.2074 0.9505
O2 0.2475 0.7032 0.9510
O3 0.3412 0.0266 0.7479
```

Top 8 peaks for 2θ = 10–90°, in order of rising 2θ:
hkl 0 1 1, 2θ = 19.1°, intensity 24
hkl 1 0 0, 2θ = 19.6°, intensity 23
hkl 0 2 0, 2θ = 31.0°, intensity 21
hkl 1 1 1, 2θ = 31.9°, intensity 100
hkl 2 0 -2, 2θ = 32.4°, intensity 25
hkl 2 2 -2, 2θ = 45.5°, intensity 21
hkl 0 0 4, 2θ = 45.9°, intensity 14
hkl 2 0 -6, 2θ = 57.4°, intensity 17

***

5.
Theoretical XRD peak list
Compound: KZr2As3O12
Radiation: Cu Ka
Structure: a structure optimized by DFT (GGA-PBE)

Crystal structure
```
data_KZr2As3O12
_space_group_name_H-M_alt 'R -3 c'
_space_group_IT_number 167
_space_group_name_Hall '-R 3 2"c'
_cell_length_a 9.2652
_cell_length_b 9.2652
_cell_length_c 24.8283
_cell_angle_alpha 90.00
_cell_angle_beta 90.00
_cell_angle_gamma 120.00
loop_
_atom_site_label
_atom_site_fract_x
_atom_site_fract_y
_atom_site_fract_z
K1 0.0000 0.0000 0.0000
Zr1 0.0000 0.0000 0.1472
As1 0.0000 0.2848 0.2500
O1 0.0276 0.1899 0.9066
O2 0.0410 0.2037 0.1942
```

Top 8 peaks for 2θ = 10–90°, in order of rising 2θ:
hkl 0 1 2, 2θ = 13.1°, intensity 17
hkl 1 0 4, 2θ = 18.1°, intensity 15
hkl 1 1 0, 2θ = 19.2°, intensity 25
hkl 1 1 3, 2θ = 22.0°, intensity 100
hkl 0 2 4, 2θ = 26.5°, intensity 28
hkl 1 1 6, 2θ = 28.9°, intensity 70
hkl 3 0 0, 2θ = 33.5°, intensity 33
hkl 2 2 6, 2θ = 44.8°, intensity 23

***

6.
Theoretical XRD peak list
Compound: TmSi2Ni2Rh
Radiation: Cu Ka
Structure: a structure optimized by DFT (GGA-PBE)

Crystal structure
```
data_TmSi2Ni2Rh
_space_group_name_H-M_alt 'P 4/m m m'
_space_group_IT_number 123
_space_group_name_Hall '-P 4 2'
_cell_length_a 4.4644
_cell_length_b 4.4644
_cell_length_c 5.2156
_cell_angle_alpha 90.00
_cell_angle_beta 90.00
_cell_angle_gamma 90.00
loop_
_atom_site_label
_atom_site_fract_x
_atom_site_fract_y
_atom_site_fract_z
Tm1 0.0000 0.0000 0.0000
Si1 0.0000 0.5000 0.5000
Ni1 0.5000 0.5000 0.2535
Rh1 0.0000 0.0000 0.5000
```

Top 8 peaks for 2θ = 10–90°, in order of rising 2θ:
hkl 1 0 0, 2θ = 19.9°, intensity 37
hkl 1 1 0, 2θ = 28.3°, intensity 94
hkl 1 0 2, 2θ = 40.0°, intensity 100
hkl 2 0 0, 2θ = 40.4°, intensity 63
hkl 2 1 2, 2θ = 58.2°, intensity 65
hkl 2 2 0, 2θ = 58.5°, intensity 21
hkl 3 1 0, 2θ = 66.2°, intensity 16
hkl 3 2 2, 2θ = 87.1°, intensity 21

***

7.
Theoretical XRD peak list
Compound: MnRh5S8
Radiation: Cu Ka
Structure: a structure optimized by DFT (GGA-PBE)

Crystal structure
```
data_MnRh5S8
_space_group_name_H-M_alt 'F -4 3 m'
_space_group_IT_number 216
_space_group_name_Hall 'F -4 2 3'
_cell_length_a 9.9134
_cell_length_b 9.9134
_cell_length_c 9.9134
_cell_angle_alpha 90.00
_cell_angle_beta 90.00
_cell_angle_gamma 90.00
loop_
_atom_site_label
_atom_site_fract_x
_atom_site_fract_y
_atom_site_fract_z
Mn1 0.0000 0.0000 0.0000
Rh1 0.1243 0.1243 0.3757
Rh2 0.2500 0.2500 0.7500
S1 0.1152 0.1152 0.6152
S2 0.1341 0.1341 0.1341
```

Top 8 peaks for 2θ = 10–90°, in order of rising 2θ:
hkl 1 1 1, 2θ = 15.5°, intensity 26
hkl 2 2 0, 2θ = 25.4°, intensity 21
hkl 3 1 1, 2θ = 29.9°, intensity 100
hkl 4 0 0, 2θ = 36.2°, intensity 38
hkl 5 1 1, 2θ = 47.7°, intensity 43
hkl 4 4 0, 2θ = 52.2°, intensity 67
hkl 5 5 3, 2θ = 73.4°, intensity 20
hkl 5 5 5, 2θ = 84.7°, intensity 13

***

8.
Theoretical XRD peak list
Compound: Ac5Sb4Br
Radiation: Cu Ka
Structure: a structure optimized by DFT (GGA-PBE)

Crystal structure
```
data_Ac5Sb4Br
_space_group_name_H-M_alt 'I m m m'
_space_group_IT_number 71
_space_group_name_Hall '-I 2 2'
_cell_length_a 4.7856
_cell_length_b 6.7130
_cell_length_c 23.6963
_cell_angle_alpha 90.00
_cell_angle_beta 90.00
_cell_angle_gamma 90.00
loop_
_atom_site_label
_atom_site_fract_x
_atom_site_fract_y
_atom_site_fract_z
Ac1 0.0000 0.0000 0.0000
Ac2 0.0000 0.0000 0.1998
Ac3 0.0000 0.0000 0.3950
Sb1 0.0000 0.5000 0.1992
Sb2 0.0000 0.5000 0.4021
Br1 0.0000 0.5000 0.0000
```

Top 8 peaks for 2θ = 10–90°, in order of rising 2θ:
hkl 0 2 0, 2θ = 26.5°, intensity 100
hkl 2 0 0, 2θ = 37.6°, intensity 13
hkl 1 2 5, 2θ = 37.8°, intensity 53
hkl 0 0 10, 2θ = 38.0°, intensity 13
hkl 2 2 0, 2θ = 46.6°, intensity 15
hkl 0 2 10, 2θ = 46.9°, intensity 14
hkl 1 4 5, 2θ = 61.8°, intensity 19
hkl 0 4 10, 2θ = 68.5°, intensity 13